For PmThIr, a structure optimized by DFT (PBE) gives the theoretical X-ray diffraction stick pattern in this record (Cu Kα X-rays).
Kinematic intensities with the Lorentz-polarization factor, no thermal factor.

Structure:
Unit cell a=7.419 b=7.419 c=7.419 alpha=149.71 beta=125.61 gamma=63.53
Element x y z (fractional)
Pm (0.215, 0.215, 0.000)
Pm (0.785, 0.785, 0.000)
Th (0.251, 0.500, 0.751)
Th (0.749, 0.500, 0.249)
Ir (0.382, 0.882, 0.500)
Ir (0.618, 0.118, 0.500)

Most intense lines, 15° ≤ 2θ ≤ 90°, sorted by position:
d/Å, Rel. int.
2.986, 60
2.850, 84
2.502, 100
2.365, 23
2.309, 26
2.301, 40
1.939, 24
1.457, 23